[1]
Structure and computed powder XRD pattern of CaSc4Fe4O12 (a GGA+U-relaxed structure; Cu Ka).

Atomic structure:
abc: 5.147 5.701 8.993
angles: 81.79 87.38 89.69
Space group P1 (No. 1)
One atom of each set of equivalent atoms:
Ca 0.000 0.000 0.000 (multiplicity 1)
Sc 0.030 0.539 0.248 (multiplicity 1)
Sc 0.513 0.053 0.264 (multiplicity 1)
Sc 0.519 0.792 0.660 (multiplicity 1)
Sc 0.991 0.270 0.639 (multiplicity 1)
Fe 0.007 0.903 0.452 (multiplicity 1)
Fe 0.038 0.613 0.825 (multiplicity 1)
Fe 0.504 0.429 0.456 (multiplicity 1)
Fe 0.523 0.438 0.966 (multiplicity 1)
O 0.143 0.924 0.671 (multiplicity 1)
O 0.156 0.601 0.036 (multiplicity 1)
O 0.195 0.238 0.393 (multiplicity 1)
O 0.317 0.737 0.374 (multiplicity 1)
O 0.325 0.461 0.659 (multiplicity 1)
O 0.398 0.124 0.063 (multiplicity 1)
O 0.666 0.751 0.858 (multiplicity 1)
O 0.674 0.394 0.256 (multiplicity 1)
O 0.691 0.090 0.526 (multiplicity 1)
O 0.810 0.596 0.532 (multiplicity 1)
O 0.845 0.298 0.840 (multiplicity 1)
O 0.869 0.886 0.249 (multiplicity 1)

Largest 10 diffraction maxima, by angle, 2θ = 15–90°:
d [Å]	2θ/deg	I/Imax
2.805	31.90	100
2.719	32.94	56
2.571	34.90	52
2.037	44.47	29
1.974	45.98	26
1.789	51.05	25
1.766	51.78	27
1.636	56.22	27
1.540	60.09	25
1.497	61.98	24

=====

[2]
Structure and computed powder XRD pattern of CaFe3Si4O12 (a GGA+U-relaxed structure; Cu Ka).

Atomic structure:
abc: 12.286 9.183 9.938
angles: 90.00 123.85 90.00
Space group C2 (No. 5)
One atom of each set of equivalent atoms:
Ca 0.000 0.000 0.000 (multiplicity 2)
Ca 0.000 0.498 0.500 (multiplicity 2)
Fe 0.000 0.111 0.500 (multiplicity 2)
Fe 0.000 0.611 0.000 (multiplicity 2)
Fe 0.250 0.301 0.750 (multiplicity 4)
Fe 0.250 0.443 0.250 (multiplicity 4)
Si 0.001 0.288 0.206 (multiplicity 4)
Si 0.001 0.790 0.706 (multiplicity 4)
Si 0.246 0.609 0.955 (multiplicity 4)
Si 0.247 0.111 0.457 (multiplicity 4)
O 0.046 0.295 0.670 (multiplicity 4)
O 0.046 0.795 0.170 (multiplicity 4)
O 0.057 0.436 0.176 (multiplicity 4)
O 0.058 0.938 0.677 (multiplicity 4)
O 0.119 0.214 0.970 (multiplicity 4)
O 0.119 0.718 0.471 (multiplicity 4)
O 0.125 0.170 0.277 (multiplicity 4)
O 0.125 0.671 0.775 (multiplicity 4)
O 0.200 0.612 0.081 (multiplicity 4)
O 0.202 0.118 0.585 (multiplicity 4)
O 0.209 0.454 0.568 (multiplicity 4)
O 0.211 0.953 0.075 (multiplicity 4)

Largest 10 diffraction maxima, by angle, 2θ = 15–90°:
d [Å]	2θ/deg	I/Imax
4.755	18.66	22
3.303	26.99	24
3.069	29.09	100
2.997	29.82	51
2.633	34.05	56
2.550	35.20	88
2.189	41.25	37
1.663	55.25	23
1.654	55.57	21
1.441	64.67	27

=====

[3]
Structure and computed powder XRD pattern of Ca2ZnFeSi4O12 (a GGA+U-relaxed structure; Cu Ka).

Atomic structure:
abc: 10.000 9.072 5.339
angles: 90.00 105.93 90.00
Space group C2 (No. 5)
One atom of each set of equivalent atoms:
Ca 0.000 0.000 0.000 (multiplicity 2)
Ca 0.000 0.406 0.500 (multiplicity 2)
Zn 0.000 0.798 0.500 (multiplicity 2)
Fe 0.000 0.607 0.000 (multiplicity 2)
Si 0.213 0.111 0.513 (multiplicity 4)
Si 0.214 0.295 0.015 (multiplicity 4)
O 0.118 0.792 0.896 (multiplicity 4)
O 0.119 0.613 0.403 (multiplicity 4)
O 0.137 0.956 0.424 (multiplicity 4)
O 0.140 0.451 0.926 (multiplicity 4)
O 0.150 0.220 0.247 (multiplicity 4)
O 0.152 0.187 0.748 (multiplicity 4)

Largest 10 diffraction maxima, by angle, 2θ = 15–90°:
d [Å]	2θ/deg	I/Imax
3.049	29.29	100
3.022	29.56	39
2.608	34.38	35
2.566	34.97	88
2.253	40.01	14
2.176	41.51	25
1.783	51.24	17
1.662	55.28	16
1.651	55.66	24
1.454	64.05	19

=====

[4]
Structure and computed powder XRD pattern of CaFe2SnO6 (a GGA+U-relaxed structure; Cu Ka).

Atomic structure:
abc: 5.295 5.390 5.620
angles: 61.56 63.34 61.18
Space group P1 (No. 1)
One atom of each set of equivalent atoms:
Ca 0.000 0.000 0.000 (multiplicity 1)
Fe 0.226 0.211 0.340 (multiplicity 1)
Fe 0.727 0.722 0.821 (multiplicity 1)
Sn 0.515 0.518 0.445 (multiplicity 1)
O 0.105 0.825 0.609 (multiplicity 1)
O 0.359 0.553 0.139 (multiplicity 1)
O 0.444 0.107 0.612 (multiplicity 1)
O 0.563 0.925 0.123 (multiplicity 1)
O 0.807 0.451 0.633 (multiplicity 1)
O 0.931 0.368 0.138 (multiplicity 1)

Largest 10 diffraction maxima, by angle, 2θ = 15–90°:
d [Å]	2θ/deg	I/Imax
4.738	18.73	49
4.451	19.95	73
2.862	31.26	100
2.813	31.82	87
2.798	31.99	87
2.717	32.96	88
2.694	33.26	83
2.647	33.87	79
1.573	58.69	48
1.545	59.85	46

=====

[5]
Structure and computed powder XRD pattern of SrCaFe4O12 (a GGA+U-relaxed structure; Cu Ka).

Atomic structure:
abc: 5.395 5.395 7.664
angles: 90.00 90.00 90.00
Space group P4/mmm (No. 123)
One atom of each set of equivalent atoms:
Sr 0.000 0.000 0.000 (multiplicity 1)
Ca 0.500 0.500 0.500 (multiplicity 1)
Fe 0.000 0.500 0.251 (multiplicity 4)
O 0.000 0.500 0.000 (multiplicity 2)
O 0.000 0.500 0.500 (multiplicity 2)
O 0.253 0.253 0.255 (multiplicity 8)

Largest 10 diffraction maxima, by angle, 2θ = 15–90°:
d [Å]	2θ/deg	I/Imax
4.412	20.13	45
3.832	23.21	15
3.815	23.32	30
2.702	33.16	100
2.301	39.14	16
1.916	47.45	19
1.907	47.68	38
1.562	59.14	12
1.559	59.29	24
1.352	69.54	21